Diffraction record for ThScFe6. The powder diffractogram is simulated, not measured: it uses a DFT-relaxed cell (PBE, the Materials Project) and λ = 1.5418 Å (Cu Kα).
Intensities are scaled so that the largest is 100.

Crystal structure
a = 16.5402 Å, b = 16.5402 Å, c = 16.5402 Å
α = 17.52°, β = 17.52°, γ = 17.52°
Atoms (fractional coordinates):
Th (0.0000, 0.0000, 0.0000)
Th (0.0738, 0.0738, 0.0738)
Th (0.5028, 0.5028, 0.5028)
Sc (0.4324, 0.4324, 0.4324)
Sc (0.5744, 0.5744, 0.5744)
Sc (0.9297, 0.9297, 0.9297)
Fe (0.0445, 0.0445, 0.5467)
Fe (0.0445, 0.5467, 0.0445)
Fe (0.0451, 0.5434, 0.5434)
Fe (0.1690, 0.1690, 0.1690)
Fe (0.2521, 0.2521, 0.2521)
Fe (0.3353, 0.3353, 0.3353)
Fe (0.4597, 0.4597, 0.9575)
Fe (0.4597, 0.9575, 0.4597)
Fe (0.4599, 0.9610, 0.9610)
Fe (0.5434, 0.0451, 0.5434)
Fe (0.5434, 0.5434, 0.0451)
Fe (0.5467, 0.0445, 0.0445)
Fe (0.6680, 0.6680, 0.6680)
Fe (0.7530, 0.7530, 0.7530)
Fe (0.8362, 0.8362, 0.8362)
Fe (0.9575, 0.4597, 0.4597)
Fe (0.9610, 0.4599, 0.9610)
Fe (0.9610, 0.9610, 0.4599)

Main lines, low angle first (10° ≤ 2θ ≤ 80°):
| d_spacing | 2theta | I (rel.) |
| --- | --- | --- |
| 3.255 | 27.4 | 16 |
| 2.725 | 32.9 | 36 |
| 2.520 | 35.6 | 43 |
| 2.502 | 35.9 | 29 |
| 2.173 | 41.6 | 36 |
| 2.148 | 42.1 | 17 |
| 2.142 | 42.2 | 100 |
| 2.035 | 44.5 | 18 |
| 1.370 | 68.5 | 23 |
| 1.260 | 75.5 | 19 |